For MgScH6Rh2, the GGA-PBE geometry in Alexandria gives the calculated powder XRD pattern in this record (CuKα).
Peak positions follow from Bragg's law for the DFT cell and can differ from measured ones.

Cell and atoms:
Lattice parameters (Å, degrees): 5.617 5.617 5.617 47.05 47.05 47.05
Element x y z (fractional)
Mg 0.000 0.000 0.000
Sc 0.500 0.500 0.500
H 0.056 0.056 0.552
H 0.056 0.552 0.056
H 0.448 0.944 0.944
H 0.552 0.056 0.056
H 0.944 0.448 0.944
H 0.944 0.944 0.448
Rh 0.290 0.290 0.290
Rh 0.710 0.710 0.710

Largest 10 diffraction maxima, in order of falling intensity, 2θ from 15° to 90°:
2θ = 40.22°, I 100
2θ = 33.27°, I 75
2θ = 37.97°, I 73
2θ = 25.85°, I 58
2θ = 17.79°, I 49
2θ = 44.30°, I 31
2θ = 48.64°, I 26
2θ = 23.67°, I 25
2θ = 56.51°, I 22
2θ = 71.62°, I 21